Starting from a DFT-relaxed cell (PBE, Alexandria), the powder X-ray diffraction pattern of AcScTlIn was calculated for Cu Ka.
Lines closer than 0.1° are merged.

Crystal structure
```
data_AcScTlIn
_cell_length_a 5.4945
_cell_length_b 5.4945
_cell_length_c 5.4945
_cell_angle_alpha 60.00
_cell_angle_beta 60.00
_cell_angle_gamma 60.00
_space_group_name_H-M_alt 'P 1'
_space_group_IT_number 1
loop_
_space_group_symop_operation_xyz
'x,y,z'
loop_
_atom_site_label
_atom_site_type_symbol
_atom_site_fract_x
_atom_site_fract_y
_atom_site_fract_z
_atom_site_occupancy
Ac1 Ac 0.0000 0.0000 0.0000 1
Sc1 Sc 0.5000 0.5000 0.5000 1
Tl1 Tl 0.2500 0.2500 0.2500 1
In1 In 0.7500 0.7500 0.7500 1
```

Top 9 peaks for 5° ≤ 2θ ≤ 70°, by angle:
Position (°2θ)	d/Å	I/Imax
19.79	4.486	24
22.89	3.885	1
32.59	2.747	100
38.42	2.343	14
46.76	1.943	18
51.25	1.783	7
58.16	1.586	38
62.06	1.495	5
68.28	1.374	12



Starting from a DFT-relaxed cell (PBE, Alexandria), the powder X-ray diffraction pattern of Ac2InSe5 was calculated for Cu Ka.
Lines closer than 0.1° are merged.

Crystal structure
```
data_Ac2InSe5
_cell_length_a 8.2518
_cell_length_b 8.2518
_cell_length_c 12.9620
_cell_angle_alpha 90.00
_cell_angle_beta 90.00
_cell_angle_gamma 137.21
_space_group_name_H-M_alt 'P 1'
_space_group_IT_number 1
loop_
_space_group_symop_operation_xyz
'x,y,z'
loop_
_atom_site_label
_atom_site_type_symbol
_atom_site_fract_x
_atom_site_fract_y
_atom_site_fract_z
_atom_site_occupancy
Ac1 Ac 0.1526 0.8474 0.5679 1
Ac2 Ac 0.1526 0.8474 0.9321 1
Ac3 Ac 0.8474 0.1526 0.0679 1
Ac4 Ac 0.8474 0.1526 0.4321 1
In1 In 0.1913 0.8087 0.2500 1
In2 In 0.8087 0.1913 0.7500 1
Se1 Se 0.0385 0.9615 0.1305 1
Se2 Se 0.0385 0.9615 0.3695 1
Se3 Se 0.2820 0.7180 0.7500 1
Se4 Se 0.3045 0.6955 0.0901 1
Se5 Se 0.3045 0.6955 0.4099 1
Se6 Se 0.6955 0.3045 0.5901 1
Se7 Se 0.6955 0.3045 0.9099 1
Se8 Se 0.7180 0.2820 0.2500 1
Se9 Se 0.9615 0.0385 0.6305 1
Se10 Se 0.9615 0.0385 0.8695 1
```

Top 10 peaks for 5° ≤ 2θ ≤ 70°, by angle:
Position (°2θ)	d/Å	I/Imax
11.52	7.683	59
15.81	5.605	100
23.62	3.766	85
26.04	3.422	17
29.68	3.010	71
31.15	2.871	63
38.28	2.352	60
38.95	2.312	48
41.82	2.160	19
43.56	2.078	60



Starting from a DFT-relaxed cell (PBE, Alexandria), the powder X-ray diffraction pattern of AcTlInSe3 was calculated for Cu Ka.
Lines closer than 0.1° are merged.

Crystal structure
```
data_AcTlInSe3
_cell_length_a 8.8333
_cell_length_b 4.9831
_cell_length_c 9.7971
_cell_angle_alpha 90.00
_cell_angle_beta 99.54
_cell_angle_gamma 90.00
_space_group_name_H-M_alt 'P 1'
_space_group_IT_number 1
loop_
_space_group_symop_operation_xyz
'x,y,z'
loop_
_atom_site_label
_atom_site_type_symbol
_atom_site_fract_x
_atom_site_fract_y
_atom_site_fract_z
_atom_site_occupancy
Ac1 Ac 0.1648 0.2500 0.1504 1
Ac2 Ac 0.8352 0.7500 0.8496 1
Tl1 Tl 0.3165 0.7500 0.7984 1
Tl2 Tl 0.6835 0.2500 0.2016 1
In1 In 0.3808 0.7500 0.4182 1
In2 In 0.6192 0.2500 0.5818 1
Se1 Se 0.0560 0.2500 0.8392 1
Se2 Se 0.2946 0.2500 0.4823 1
Se3 Se 0.3903 0.7500 0.1387 1
Se4 Se 0.6097 0.2500 0.8613 1
Se5 Se 0.7054 0.7500 0.5177 1
Se6 Se 0.9440 0.7500 0.1608 1
```

Top 10 peaks for 5° ≤ 2θ ≤ 70°, by angle:
Position (°2θ)	d/Å	I/Imax
12.50	7.080	27
20.05	4.429	19
25.68	3.468	20
27.19	3.279	79
27.65	3.226	100
34.93	2.568	25
36.05	2.491	39
36.59	2.456	18
43.68	2.072	26
46.06	1.971	23



Starting from a DFT-relaxed cell (PBE, Alexandria), the powder X-ray diffraction pattern of Ac4InSi2 was calculated for Cu Ka.
Lines closer than 0.1° are merged.

Crystal structure
```
data_Ac4InSi2
_cell_length_a 11.1524
_cell_length_b 11.1524
_cell_length_c 11.1524
_cell_angle_alpha 26.91
_cell_angle_beta 26.91
_cell_angle_gamma 26.91
_space_group_name_H-M_alt 'P 1'
_space_group_IT_number 1
loop_
_space_group_symop_operation_xyz
'x,y,z'
loop_
_atom_site_label
_atom_site_type_symbol
_atom_site_fract_x
_atom_site_fract_y
_atom_site_fract_z
_atom_site_occupancy
Ac1 Ac 0.1156 0.1156 0.1156 1
Ac2 Ac 0.2977 0.2977 0.2977 1
Ac3 Ac 0.7023 0.7023 0.7023 1
Ac4 Ac 0.8844 0.8844 0.8844 1
In1 In 0.5000 0.5000 0.5000 1
Si1 Si 0.4014 0.4014 0.4014 1
Si2 Si 0.5986 0.5986 0.5986 1
```

Top 10 peaks for 5° ≤ 2θ ≤ 70°, by angle:
Position (°2θ)	d/Å	I/Imax
24.14	3.687	100
27.74	3.216	18
34.24	2.619	39
34.56	2.595	58
42.60	2.122	23
48.80	1.866	14
49.44	1.844	14
55.97	1.643	21
61.72	1.503	14
61.92	1.499	12



Starting from a DFT-relaxed cell (PBE, Alexandria), the powder X-ray diffraction pattern of AcSm15In4 was calculated for Cu Ka.
Lines closer than 0.1° are merged.

Crystal structure
```
data_AcSm15In4
_cell_length_a 4.9604
_cell_length_b 4.9604
_cell_length_c 25.3335
_cell_angle_alpha 90.00
_cell_angle_beta 90.00
_cell_angle_gamma 90.00
_space_group_name_H-M_alt 'P 1'
_space_group_IT_number 1
loop_
_space_group_symop_operation_xyz
'x,y,z'
loop_
_atom_site_label
_atom_site_type_symbol
_atom_site_fract_x
_atom_site_fract_y
_atom_site_fract_z
_atom_site_occupancy
Ac1 Ac 0.0000 0.0000 0.0000 1
Sm1 Sm 0.0000 0.5000 0.1099 1
Sm2 Sm 0.0000 0.5000 0.3050 1
Sm3 Sm 0.0000 0.5000 0.5000 1
Sm4 Sm 0.0000 0.5000 0.6950 1
Sm5 Sm 0.0000 0.5000 0.8901 1
Sm6 Sm 0.5000 0.0000 0.1099 1
Sm7 Sm 0.5000 0.0000 0.3050 1
Sm8 Sm 0.5000 0.0000 0.5000 1
Sm9 Sm 0.5000 0.0000 0.6950 1
Sm10 Sm 0.5000 0.0000 0.8901 1
Sm11 Sm 0.5000 0.5000 0.0000 1
Sm12 Sm 0.5000 0.5000 0.2088 1
Sm13 Sm 0.5000 0.5000 0.4021 1
Sm14 Sm 0.5000 0.5000 0.5979 1
Sm15 Sm 0.5000 0.5000 0.7912 1
In1 In 0.0000 0.0000 0.2080 1
In2 In 0.0000 0.0000 0.4030 1
In3 In 0.0000 0.0000 0.5970 1
In4 In 0.0000 0.0000 0.7920 1
```

Top 10 peaks for 5° ≤ 2θ ≤ 70°, by angle:
Position (°2θ)	d/Å	I/Imax
29.10	3.068	2
31.01	2.884	100
35.43	2.533	16
36.22	2.480	34
51.57	1.772	21
52.15	1.754	12
57.29	1.608	2
60.88	1.522	11
61.93	1.498	28
64.63	1.442	13



Starting from a DFT-relaxed cell (PBE, Alexandria), the powder X-ray diffraction pattern of Ac3Sm3TlIn2 was calculated for Cu Ka.
Lines closer than 0.1° are merged.

Crystal structure
```
data_Ac3Sm3TlIn2
_cell_length_a 9.5421
_cell_length_b 9.5421
_cell_length_c 3.9327
_cell_angle_alpha 90.00
_cell_angle_beta 90.00
_cell_angle_gamma 120.00
_space_group_name_H-M_alt 'P 1'
_space_group_IT_number 1
loop_
_space_group_symop_operation_xyz
'x,y,z'
loop_
_atom_site_label
_atom_site_type_symbol
_atom_site_fract_x
_atom_site_fract_y
_atom_site_fract_z
_atom_site_occupancy
Ac1 Ac 0.0000 0.7143 0.0000 1
Ac2 Ac 0.2857 0.2857 0.0000 1
Ac3 Ac 0.7143 0.0000 0.0000 1
Sm1 Sm 0.0000 0.3904 0.5000 1
Sm2 Sm 0.3904 0.0000 0.5000 1
Sm3 Sm 0.6096 0.6096 0.5000 1
Tl1 Tl 0.0000 0.0000 0.5000 1
In1 In 0.3333 0.6667 0.0000 1
In2 In 0.6667 0.3333 0.0000 1
```

Top 10 peaks for 5° ≤ 2θ ≤ 70°, by angle:
Position (°2θ)	d/Å	I/Imax
28.58	3.123	33
29.43	3.035	100
31.40	2.849	56
32.50	2.755	77
36.75	2.446	27
44.42	2.040	17
46.17	1.966	16
53.67	1.708	40
57.59	1.600	31
60.79	1.524	15